For LiYGe, a structure optimized by DFT (GGA-PBE) gives the simulated powder X-ray diffraction pattern in this record (CuKα).

Main lines, sorted by position (2θ from 5° to 70°):
- 14.4°, intensity 160
- 20.9°, intensity 188
- 25.1°, intensity 374
- 29.1°, intensity 263
- 32.9°, intensity 641
- 36.1°, intensity 1000
- 42.4°, intensity 226
- 44.2°, intensity 201
- 44.4°, intensity 235
- 58.3°, intensity 189

Atomic structure:
```
LiYGe
1.0
7.092 0.000 0.000
-3.546 6.142 0.000
0.000 0.000 4.259
Li Y Ge
3 3 3
Cartesian
-0.827 1.433 0.000
1.654 0.000 0.000
2.719 4.709 0.000
-2.045 3.543 2.130
1.501 2.599 2.130
4.091 0.000 2.130
0.000 0.000 2.130
0.000 4.095 0.000
3.546 2.047 0.000
```

---

For Li8Zn2Ge3, a structure optimized by DFT (GGA-PBE) gives the simulated powder X-ray diffraction pattern in this record (CuKα).

Main lines, sorted by position (2θ from 5° to 70°):
- 15.4°, intensity 195
- 21.9°, intensity 946
- 26.0°, intensity 1000
- 41.0°, intensity 437
- 41.3°, intensity 722
- 44.7°, intensity 134
- 47.3°, intensity 776
- 49.5°, intensity 167
- 59.7°, intensity 139
- 62.5°, intensity 281

Atomic structure:
```
Li8Zn2Ge3
1.0
3.783 2.184 8.109
-3.783 2.184 8.109
0.000 -4.368 8.109
Li Zn Ge
16 4 6
Cartesian
0.000 0.000 0.000
-1.339 -2.074 8.184
0.000 0.000 2.487
-1.370 -2.088 10.822
-2.656 0.012 12.239
-2.659 0.047 14.876
-1.127 2.196 8.184
-1.124 2.230 10.822
0.000 0.000 12.163
1.317 -2.306 12.239
0.000 0.000 14.650
1.289 -2.326 14.876
2.465 -0.122 8.184
2.493 -0.142 10.822
1.339 2.294 12.239
1.370 2.279 14.876
0.000 0.000 5.465
0.000 0.000 9.382
0.000 0.000 17.628
0.000 0.000 21.545
-2.548 0.063 9.496
-1.235 -2.120 13.550
1.219 -2.238 9.496
-1.219 2.129 13.550
1.329 2.175 9.496
2.454 -0.009 13.550
```

---

For Li2ZnGe3, a structure optimized by DFT (GGA-PBE) gives the simulated powder X-ray diffraction pattern in this record (CuKα).

Main lines, sorted by position (2θ from 5° to 70°):
- 24.3°, intensity 919
- 26.2°, intensity 615
- 27.7°, intensity 539
- 36.0°, intensity 557
- 42.8°, intensity 1000
- 47.1°, intensity 764
- 49.9°, intensity 128
- 50.9°, intensity 578
- 57.2°, intensity 142
- 65.5°, intensity 275

Atomic structure:
```
Li2ZnGe3
1.0
4.222 0.000 0.000
-2.111 3.656 0.000
0.000 0.000 6.813
Li Zn Ge
2 1 3
Cartesian
0.000 0.000 0.000
0.000 0.000 2.982
2.111 1.219 1.767
0.000 2.437 1.206
0.000 2.437 5.391
2.111 1.219 4.440
```

---

For LiZr4Ge, a structure optimized by DFT (GGA-PBE) gives the simulated powder X-ray diffraction pattern in this record (CuKα).

Main lines, sorted by position (2θ from 5° to 70°):
- 13.0°, intensity 92
- 23.0°, intensity 102
- 33.0°, intensity 74
- 35.9°, intensity 1000
- 39.6°, intensity 175
- 40.5°, intensity 183
- 45.0°, intensity 152
- 57.9°, intensity 116
- 61.5°, intensity 93
- 62.1°, intensity 100

Atomic structure:
```
LiZr4Ge
1.0
4.027 0.000 0.000
0.000 4.458 0.000
-2.007 0.000 6.834
Li Zr Ge
1 4 1
Cartesian
0.000 0.000 0.000
0.003 0.000 4.650
2.017 2.229 0.089
2.015 0.000 2.220
2.010 2.229 4.334
0.002 2.229 2.198
```

---

For Li4ZrGe2, a structure optimized by DFT (GGA-PBE) gives the simulated powder X-ray diffraction pattern in this record (CuKα).

Main lines, sorted by position (2θ from 5° to 70°):
- 23.4°, intensity 1000
- 24.5°, intensity 202
- 37.5°, intensity 337
- 37.7°, intensity 115
- 40.5°, intensity 445
- 41.0°, intensity 373
- 47.4°, intensity 147
- 56.5°, intensity 207
- 59.0°, intensity 124
- 64.1°, intensity 116

Atomic structure:
```
Li4ZrGe2
1.0
2.226 1.285 7.161
-2.226 1.285 7.161
0.000 -2.570 7.161
Li Zr Ge
4 1 2
Cartesian
0.000 0.000 1.594
0.000 0.000 5.401
0.000 0.000 16.082
0.000 0.000 19.890
0.000 0.000 10.742
0.000 0.000 8.072
0.000 0.000 13.411
```

---

For LuGe2, a structure optimized by DFT (GGA-PBE) gives the simulated powder X-ray diffraction pattern in this record (CuKα).

Main lines, sorted by position (2θ from 5° to 70°):
- 22.7°, intensity 68
- 25.6°, intensity 168
- 28.0°, intensity 84
- 34.7°, intensity 163
- 36.5°, intensity 1000
- 42.0°, intensity 94
- 44.8°, intensity 139
- 46.8°, intensity 126
- 57.9°, intensity 74
- 66.8°, intensity 89

Atomic structure:
```
LuGe2
1.0
2.021 -7.752 0.000
2.021 7.752 0.000
0.000 0.000 3.885
Lu Ge
2 4
Cartesian
2.021 6.165 2.914
2.021 -6.165 0.971
2.021 3.837 0.971
2.021 0.870 2.914
2.021 -0.870 0.971
2.021 -3.837 2.914
```